Diffraction record for FeAg2Pt. The PXRD pattern is calculated, not measured: it uses a crystal structure in Alexandria, relaxed with GGA-PBE and Cu Kα, 1.54184 Å.

The 10 most intense peaks (2θ from 15° to 90°), sorted by position:
- 23.17 deg, I 15
- 27.70 deg, I 14
- 38.43 deg, I 100
- 39.62 deg, I 97
- 44.35 deg, I 66
- 47.36 deg, I 29
- 66.89 deg, I 37
- 79.13 deg, I 12
- 79.27 deg, I 12
- 82.81 deg, I 11

Atomic structure:
```
FeAg2Pt
1.0
2.8244 0.0000 0.0000
0.0000 3.8389 0.0000
-0.0126 0.0000 5.9139
Fe Ag Pt
1 2 1
Direct
0.0000 0.0000 0.0000
0.0011 0.0000 0.4725
0.5009 0.5000 0.7298
0.5013 0.5000 0.1975
```

=====

Diffraction record for FeAgRh. The PXRD pattern is calculated, not measured: it uses a crystal structure in Alexandria, relaxed with GGA-PBE and Cu Kα, 1.54184 Å.

The 10 most intense peaks (2θ from 15° to 90°), sorted by position:
- 26.90 deg, I 8
- 40.40 deg, I 27
- 40.85 deg, I 24
- 41.23 deg, I 100
- 58.80 deg, I 16
- 60.63 deg, I 8
- 74.03 deg, I 16
- 74.63 deg, I 13
- 75.40 deg, I 8
- 89.51 deg, I 10

Atomic structure:
```
FeAgRh
1.0
3.0548 0.0000 0.0000
0.0000 4.4652 0.0000
0.0000 0.0000 13.2554
Fe Ag Rh
4 4 4
Direct
0.0000 0.0000 0.0000
0.0000 0.5000 0.5000
0.5000 0.0000 0.5000
0.5000 0.5000 0.0000
0.0000 0.0000 0.3293
0.0000 0.5000 0.8293
0.5000 0.0000 0.8293
0.5000 0.5000 0.3293
0.0000 0.0000 0.6476
0.0000 0.5000 0.1476
0.5000 0.0000 0.1476
0.5000 0.5000 0.6476
```

=====

Diffraction record for Sc3FeAg. The PXRD pattern is calculated, not measured: it uses a crystal structure in Alexandria, relaxed with GGA-PBE and Cu Kα, 1.54184 Å.

The 10 most intense peaks (2θ from 15° to 90°), sorted by position:
- 19.07 deg, I 47
- 22.57 deg, I 75
- 29.21 deg, I 47
- 33.00 deg, I 42
- 33.58 deg, I 46
- 35.52 deg, I 62
- 35.80 deg, I 100
- 38.57 deg, I 83
- 40.27 deg, I 67
- 43.40 deg, I 52

Atomic structure:
```
Sc3FeAg
1.0
8.0041 0.0000 0.0000
0.0000 3.3426 0.0000
-2.6100 0.0000 7.5833
Sc Fe Ag
6 2 2
Direct
0.0761 0.2500 0.3274
0.2856 0.2500 0.9408
0.4176 0.7500 0.3070
0.5824 0.2500 0.6930
0.7144 0.7500 0.0592
0.9239 0.7500 0.6726
0.0926 0.7500 0.0684
0.9074 0.2500 0.9316
0.2814 0.7500 0.6351
0.7186 0.2500 0.3649
```